No. 1
Starting from DFT lattice parameters and positions (GGA-PBE), the PXRD pattern of CsTaAgTe2S was simulated for copper Kα.
Kinematic intensities with the Lorentz-polarization factor, no thermal factor.

Largest 10 diffraction maxima, sorted by position, 2θ from 10° to 90°:
20.4 deg, 4.350 Å, I 53
25.8 deg, 3.453 Å, I 30
27.4 deg, 3.257 Å, I 47
31.7 deg, 2.823 Å, I 87
32.1 deg, 2.784 Å, I 100
36.6 deg, 2.453 Å, I 54
37.1 deg, 2.421 Å, I 30
37.9 deg, 2.374 Å, I 38
43.8 deg, 2.067 Å, I 33
49.5 deg, 1.840 Å, I 58

Cell and atoms:
```
data_CsTaAgTe2S
_chemical_formula_sum 'Cs4 Ta4 Ag4 Te8 S4'
_cell_length_a 4.1347
_cell_length_b 18.8301
_cell_length_c 9.8103
_cell_angle_alpha 90.00
_cell_angle_beta 90.00
_cell_angle_gamma 90.00
_space_group_name_H-M_alt 'C m c m'
_space_group_IT_number 63
_space_group_name_Hall '-C 2c 2'
loop_
_atom_site_label
_atom_site_fract_x
_atom_site_fract_y
_atom_site_fract_z
_atom_site_occupancy
Cs1 0.0000 0.2281 0.2500 1
Ta1 0.0000 0.0000 0.0000 1
Ag1 0.0000 0.4390 0.7500 1
Te1 0.0000 0.3898 0.0084 1
S1 0.0000 0.0173 0.7500 1
```



No. 2
Starting from DFT lattice parameters and positions (GGA-PBE), the PXRD pattern of PrP4 was simulated for copper Kα.
Kinematic intensities with the Lorentz-polarization factor, no thermal factor.

Largest 10 diffraction maxima, sorted by position, 2θ from 10° to 90°:
17.3 deg, 5.127 Å, I 38
20.5 deg, 4.331 Å, I 44
25.6 deg, 3.474 Å, I 100
28.2 deg, 3.165 Å, I 64
31.3 deg, 2.862 Å, I 80
31.4 deg, 2.853 Å, I 49
36.8 deg, 2.443 Å, I 58
38.8 deg, 2.319 Å, I 47
39.1 deg, 2.301 Å, I 50
53.6 deg, 1.709 Å, I 31

Cell and atoms:
```
data_PrP4
_chemical_formula_sum 'Pr4 P16'
_cell_length_a 11.9046
_cell_length_b 5.2451
_cell_length_c 7.7908
_cell_angle_alpha 90.00
_cell_angle_beta 120.54
_cell_angle_gamma 90.00
_space_group_name_H-M_alt 'C 1 2/c 1'
_space_group_IT_number 15
_space_group_name_Hall '-C 2yc'
loop_
_atom_site_label
_atom_site_fract_x
_atom_site_fract_y
_atom_site_fract_z
_atom_site_occupancy
Pr1 0.0000 0.1557 0.2500 1
P1 0.1359 0.4373 0.6440 1
P2 0.1895 0.1879 0.0798 1
```



No. 3
Starting from DFT lattice parameters and positions (GGA-PBE), the PXRD pattern of Pu2CSeS was simulated for copper Kα.
Kinematic intensities with the Lorentz-polarization factor, no thermal factor.

Largest 10 diffraction maxima, sorted by position, 2θ from 10° to 90°:
26.8 deg, 3.325 Å, I 30
28.4 deg, 3.141 Å, I 39
32.8 deg, 2.731 Å, I 100
39.1 deg, 2.303 Å, I 29
46.8 deg, 1.943 Å, I 16
47.3 deg, 1.920 Å, I 29
55.4 deg, 1.659 Å, I 16
58.8 deg, 1.571 Å, I 19
62.0 deg, 1.498 Å, I 14
78.7 deg, 1.216 Å, I 17

Cell and atoms:
```
data_Pu2CSeS
_chemical_formula_sum 'Pu2 C1 Se1 S1'
_cell_length_a 3.8398
_cell_length_b 3.8398
_cell_length_c 9.5745
_cell_angle_alpha 90.00
_cell_angle_beta 90.00
_cell_angle_gamma 120.00
_space_group_name_H-M_alt 'P 3 m 1'
_space_group_IT_number 156
_space_group_name_Hall 'P 3 -2"'
loop_
_atom_site_label
_atom_site_fract_x
_atom_site_fract_y
_atom_site_fract_z
_atom_site_occupancy
Pu1 0.0000 0.0000 0.0000 1
Pu2 0.3333 0.6667 0.2725 1
C1 0.6667 0.3333 0.1281 1
Se1 0.3333 0.6667 0.8256 1
S1 0.0000 0.0000 0.4204 1
```



No. 4
Starting from DFT lattice parameters and positions (GGA-PBE), the PXRD pattern of Y2HoSc3Sb2Os was simulated for copper Kα.
Kinematic intensities with the Lorentz-polarization factor, no thermal factor.

Largest 10 diffraction maxima, sorted by position, 2θ from 10° to 90°:
22.8 deg, 3.908 Å, I 47
25.0 deg, 3.558 Å, I 30
31.3 deg, 2.856 Å, I 65
34.1 deg, 2.631 Å, I 100
39.9 deg, 2.257 Å, I 49
41.4 deg, 2.183 Å, I 54
43.3 deg, 2.091 Å, I 26
60.3 deg, 1.534 Å, I 29
63.9 deg, 1.456 Å, I 33
73.5 deg, 1.289 Å, I 22

Cell and atoms:
```
data_Y2HoSc3Sb2Os
_chemical_formula_sum 'Y4 Ho2 Sc6 Sb4 Os2'
_cell_length_a 4.1816
_cell_length_b 13.5482
_cell_length_c 7.8130
_cell_angle_alpha 90.00
_cell_angle_beta 90.00
_cell_angle_gamma 90.00
_space_group_name_H-M_alt 'A m m 2'
_space_group_IT_number 38
_space_group_name_Hall 'A 2 -2'
loop_
_atom_site_label
_atom_site_fract_x
_atom_site_fract_y
_atom_site_fract_z
_atom_site_occupancy
Y1 0.0000 0.1975 0.0000 1
Ho1 0.0000 0.0000 0.5920 1
Sc1 0.5000 0.0000 0.9705 1
Sc2 0.5000 0.1134 0.3111 1
Sb1 0.5000 0.1666 0.6974 1
Os1 0.0000 0.0000 0.1979 1
```